[1]
Calculated X-ray powder pattern
Compound: Li4TiCrO6
Radiation: Cu Kα (λ = 1.5418 Å)
Structure: the GGA+U geometry in the Materials Project

Structural model:
```
Li4TiCrO6
1.0
2.528 -4.394 0.000
2.528 4.394 0.000
-1.684 0.000 4.833
Li Ti Cr O
4 1 1 6
Cartesian
0.000 0.000 0.000
2.528 1.458 0.000
2.528 -1.555 0.000
1.686 -2.975 2.417
1.686 -0.022 2.417
1.686 2.896 2.417
0.967 1.425 1.293
0.075 -0.140 3.519
0.768 -1.416 1.335
2.406 1.425 3.540
3.297 -0.140 1.315
2.604 -1.416 3.499
```

Top 8 peaks for 5° ≤ 2θ ≤ 70°, sorted by position:
2θ (°)	Rel. int.
18.36	86
20.21	17
21.18	32
23.72	21
36.00	29
43.60	100
63.07	26
63.70	17



[2]
Calculated X-ray powder pattern
Compound: Li2TiCrO4
Radiation: Cu Kα (λ = 1.5418 Å)
Structure: the GGA+U geometry in the Materials Project

Structural model:
```
Li2TiCrO4
1.0
5.139 -3.030 0.000
5.139 3.030 0.000
-3.466 0.000 9.794
Li Ti Cr O
8 4 4 16
Cartesian
0.000 0.000 0.000
4.240 1.553 2.462
2.572 1.553 7.332
1.699 0.000 2.459
3.406 0.000 4.897
5.113 0.000 7.335
4.240 -1.553 2.462
2.572 -1.553 7.332
-1.733 0.000 4.897
0.069 0.000 7.319
5.139 0.000 0.000
6.743 0.000 2.475
2.570 1.515 0.000
0.836 1.515 4.897
2.570 -1.515 0.000
0.836 -1.515 4.897
2.529 1.619 3.675
-0.098 0.000 3.778
0.763 1.438 8.630
-1.611 0.000 8.617
4.283 1.619 6.119
3.413 0.000 1.070
1.656 0.000 6.364
6.049 1.438 1.164
0.763 -1.438 8.630
5.156 0.000 3.430
3.399 0.000 8.724
2.529 -1.619 3.675
8.423 0.000 1.177
6.049 -1.438 1.164
6.910 0.000 6.016
4.283 -1.619 6.119
```

Top 8 peaks for 5° ≤ 2θ ≤ 70°, sorted by position:
2θ (°)	Rel. int.
18.05	100
18.31	34
34.82	12
35.09	15
42.53	81
42.87	39
61.70	21
62.26	31



[3]
Calculated X-ray powder pattern
Compound: Li2Ti3CrO8
Radiation: Cu Kα (λ = 1.5418 Å)
Structure: the GGA+U geometry in the Materials Project

Structural model:
```
Li2Ti3CrO8
1.0
8.442 0.000 0.000
0.000 8.442 0.000
0.000 0.000 8.442
Li Ti Cr O
8 12 4 32
Cartesian
0.022 0.022 0.022
2.088 2.088 2.088
2.133 6.354 6.310
4.199 8.420 4.243
4.243 4.199 8.420
6.310 2.133 6.354
6.354 6.310 2.133
8.420 4.243 4.199
1.056 1.055 5.276
1.055 3.165 7.387
1.055 5.276 1.056
3.166 3.166 5.277
3.166 5.277 3.166
3.165 7.387 1.055
5.276 1.056 1.055
5.277 3.166 3.166
5.276 7.387 7.386
7.387 1.055 3.165
7.386 5.276 7.387
7.387 7.386 5.276
1.055 7.387 3.166
3.166 1.055 7.387
5.276 5.276 5.276
7.387 3.166 1.055
0.939 0.964 3.277
0.944 7.503 5.185
0.954 5.175 7.489
0.964 3.277 0.939
1.147 1.172 7.275
1.157 3.064 5.378
1.167 5.368 3.049
1.172 7.275 1.147
3.049 1.167 5.368
3.054 3.074 7.270
3.064 5.378 1.157
3.074 7.270 3.054
3.257 5.165 5.160
3.268 3.268 3.268
3.277 0.939 0.964
3.282 7.478 7.498
5.160 3.257 5.165
5.165 5.160 3.257
5.175 7.489 0.954
5.185 0.944 7.503
5.368 3.049 1.167
5.378 1.157 3.064
5.388 7.295 5.393
5.393 5.388 7.295
7.270 3.054 3.074
7.275 1.147 1.172
7.285 7.285 7.285
7.295 5.393 5.388
7.478 7.498 3.282
7.489 0.954 5.175
7.498 3.282 7.478
7.503 5.185 0.944
```

Top 8 peaks for 5° ≤ 2θ ≤ 70°, sorted by position:
2θ (°)	Rel. int.
18.20	100
35.26	46
36.88	6
42.85	60
46.91	9
56.65	20
62.21	35
65.40	13